1.
Ga40SnMo8: simulated PXRD pattern (Cu Kα, 1.54184 Å), based on a structure optimized by DFT (PBE).
Intensities are scaled so that the largest is 100.

Principal peaks in the range 10° ≤ 2θ ≤ 80°, sorted by position:
d/Å	Position (°2θ)	I_rel	hkl
2.905	30.78	65	2 2 3
2.280	39.53	91	4 -1 5
2.265	39.80	78	3 2 4
2.168	41.67	65	5 1 1
2.079	43.54	100	4 -2 6
2.030	44.63	88	6 0 0

Crystal structure
abc: 14.0669 14.0669 15.4609
angles: 90.00 90.00 120.00
Space group R-3 (No. 148, hexagonal axes)
Inequivalent atoms, fractional coordinates:
Ga1 0.0000 0.0000 0.0000
Ga2 0.0000 0.5000 0.5000
Ga3 0.0020 0.8172 0.2828
Ga4 0.0109 0.3193 0.2670
Ga5 0.0126 0.1296 0.1613
Ga6 0.0158 0.8506 0.6157
Ga7 0.0225 0.4863 0.1604
Ga8 0.0960 0.5598 0.6703
Sn1 0.0000 0.0000 0.5000
Mo1 0.0000 0.0000 0.2868
Mo2 0.0158 0.3080 0.0965


2.
Zn9Ga3Mo2: simulated PXRD pattern (Cu Kα, 1.54184 Å), based on a structure optimized by DFT (PBE).
Intensities are scaled so that the largest is 100.

Principal peaks in the range 10° ≤ 2θ ≤ 80°, sorted by position:
d/Å	Position (°2θ)	I_rel	hkl
4.759	18.64	18	1 0 0
2.297	39.21	69	0 2 1
2.206	40.91	39	0 0 4
2.094	43.20	100	2 0 2
1.850	49.25	34	2 0 3
1.374	68.27	24	2 2 0

Crystal structure
abc: 5.4953 5.4953 8.8243
angles: 90.00 90.00 120.00
Space group P-3m1 (No. 164)
Inequivalent atoms, fractional coordinates:
Zn1 0.0000 0.5000 0.0000
Zn2 0.1599 0.3197 0.7553
Ga1 0.0000 0.5000 0.5000
Mo1 0.3333 0.6667 0.2599